[1]
CeCr2Si2C: simulated PXRD pattern (Cu Kα (weighted mean of Kα1 and Kα2)), based on a DFT-relaxed cell (PBE, the Materials Project).
Neutral-atom scattering factors, no anomalous dispersion.

Most intense lines, 2θ from 10° to 90°, low angle first:
(1 0 0), d 3.986, I 24; (1 0 1), d 3.177, I 47; (0 0 2), d 2.631, I 20; (1 1 1), d 2.484, I 100; (1 0 2), d 2.196, I 49; (2 0 0), d 1.993, I 42; (2 1 1), d 1.688, I 16; (2 0 2), d 1.589, I 16; (1 1 3), d 1.489, I 15; (2 1 2), d 1.476, I 27; (2 2 0), d 1.409, I 13; (3 1 1), d 1.226, I 20

Cell and atoms:
```
data_CeCr2Si2C
_chemical_formula_sum 'Ce1 Cr2 Si2 C1'
_space_group_name_H-M_alt 'P 4/m m m'
_space_group_IT_number 123
_space_group_name_Hall '-P 4 2'
_cell_length_a 3.986
_cell_length_b 3.986
_cell_length_c 5.262
_cell_angle_alpha 90.00
_cell_angle_beta 90.00
_cell_angle_gamma 90.00
loop_
_atom_site_label
_atom_site_type_symbol
_atom_site_fract_x
_atom_site_fract_y
_atom_site_fract_z
_atom_site_occupancy
Ce1 Ce 0.000 0.000 0.000 1
Cr1 Cr 0.000 0.500 0.500 1
Si1 Si 0.500 0.500 0.229 1
C1 C 0.000 0.000 0.500 1
```

[2]
CeDyC4: simulated PXRD pattern (Cu Kα (weighted mean of Kα1 and Kα2)), based on a DFT-relaxed cell (PBE, the Materials Project).
Neutral-atom scattering factors, no anomalous dispersion.

Most intense lines, 2θ from 10° to 90°, low angle first:
(1 0 1), d 3.197, I 100; (0 0 2), d 3.131, I 33; (1 1 0), d 2.629, I 50; (1 1 2), d 2.014, I 38; (2 0 0), d 1.859, I 17; (1 0 3), d 1.820, I 28; (2 1 1), d 1.607, I 29; (2 0 2), d 1.599, I 18; (1 1 4), d 1.345, I 8; (2 1 3), d 1.301, I 19; (1 0 5), d 1.187, I 8; (3 1 2), d 1.101, I 11

Cell and atoms:
```
data_CeDyC4
_chemical_formula_sum 'Ce1 Dy1 C4'
_space_group_name_H-M_alt 'P 4/m m m'
_space_group_IT_number 123
_space_group_name_Hall '-P 4 2'
_cell_length_a 3.719
_cell_length_b 3.719
_cell_length_c 6.263
_cell_angle_alpha 90.00
_cell_angle_beta 90.00
_cell_angle_gamma 90.00
loop_
_atom_site_label
_atom_site_type_symbol
_atom_site_fract_x
_atom_site_fract_y
_atom_site_fract_z
_atom_site_occupancy
Ce1 Ce 0.000 0.000 0.000 1
Dy1 Dy 0.500 0.500 0.500 1
C1 C 0.000 0.000 0.396 1
C2 C 0.500 0.500 0.105 1
```

[3]
Ce2Fe17C: simulated PXRD pattern (Cu Kα (weighted mean of Kα1 and Kα2)), based on a DFT-relaxed cell (PBE, the Materials Project).
Neutral-atom scattering factors, no anomalous dispersion.

Most intense lines, 2θ from 10° to 90°, low angle first:
(2 2 -1), d 2.990, I 57; (1 3 1), d 2.482, I 39; (2 2 -2), d 2.391, I 46; (2 2 2), d 2.154, I 70; (0 4 0), d 2.147, I 37; (4 0 1), d 2.136, I 53; (3 3 0), d 2.131, I 100; (1 1 -3), d 2.090, I 29; (4 0 -2), d 2.078, I 59; (0 2 3), d 1.913, I 26; (6 2 0), d 1.496, I 23; (8 0 -1), d 1.210, I 26

Cell and atoms:
```
data_Ce2Fe17C
_chemical_formula_sum 'Ce4 Fe34 C2'
_space_group_name_H-M_alt 'C 1 2/m 1'
_space_group_IT_number 12
_cell_length_a 9.693
_cell_length_b 8.586
_cell_length_c 6.487
_cell_angle_alpha 90.00
_cell_angle_beta 98.93
_cell_angle_gamma 90.00
loop_
_space_group_symop_operation_xyz
'x,y,z'
'-x,-y,-z'
'-x,y,-z'
'x,-y,z'
'x+1/2,y+1/2,z'
'-x+1/2,-y+1/2,-z'
'-x+1/2,y+1/2,-z'
'x+1/2,-y+1/2,z'
loop_
_atom_site_label
_atom_site_type_symbol
_atom_site_fract_x
_atom_site_fract_y
_atom_site_fract_z
_atom_site_occupancy
Ce1 Ce 0.165 0.000 0.355 1
Fe1 Fe 0.000 0.216 0.000 1
Fe2 Fe 0.000 0.500 0.500 1
Fe3 Fe 0.095 0.253 0.657 1
Fe4 Fe 0.096 0.500 0.903 1
Fe5 Fe 0.144 0.356 0.286 1
Fe6 Fe 0.156 0.000 0.853 1
Fe7 Fe 0.250 0.250 0.000 1
C1 C 0.000 0.000 0.000 1
```

[4]
Ce2Fe20Si2C: simulated PXRD pattern (Cu Kα (weighted mean of Kα1 and Kα2)), based on a DFT-relaxed cell (PBE, the Materials Project).
Neutral-atom scattering factors, no anomalous dispersion.

Most intense lines, 2θ from 10° to 90°, low angle first:
(2 0 1), d 2.905, I 35; (1 -2 0), d 2.536, I 25; (0 1 -3), d 2.260, I 100; (0 3 -1), d 2.254, I 88; (2 -1 0), d 2.239, I 43; (0 1 3), d 2.233, I 93; (0 3 1), d 2.224, I 38; (3 1 1), d 2.077, I 59; (1 -2 3), d 1.933, I 20; (2 4 0), d 1.840, I 22; (2 -2 0), d 1.824, I 18; (2 0 5), d 1.518, I 19

Cell and atoms:
```
data_Ce2Fe20Si2C
_chemical_formula_sum 'Ce2 Fe20 Si2 C1'
_space_group_name_H-M_alt 'P -1'
_space_group_IT_number 2
_cell_length_a 6.368
_cell_length_b 7.762
_cell_length_c 7.776
_cell_angle_alpha 81.50
_cell_angle_beta 66.03
_cell_angle_gamma 65.80
loop_
_space_group_symop_operation_xyz
'x,y,z'
'-x,-y,-z'
loop_
_atom_site_label
_atom_site_type_symbol
_atom_site_fract_x
_atom_site_fract_y
_atom_site_fract_z
_atom_site_occupancy
Ce1 Ce 0.124 0.246 0.249 1
Fe1 Fe 0.064 0.675 0.076 1
Fe2 Fe 0.066 0.075 0.678 1
Fe3 Fe 0.240 0.324 0.584 1
Fe4 Fe 0.243 0.580 0.323 1
Fe5 Fe 0.302 0.835 0.421 1
Fe6 Fe 0.304 0.420 0.836 1
Fe7 Fe 0.360 0.830 0.078 1
Fe8 Fe 0.363 0.076 0.834 1
Fe9 Fe 0.370 0.751 0.753 1
Fe10 Fe 0.500 0.000 0.500 1
Fe11 Fe 0.500 0.500 0.500 1
Si1 Si 0.000 0.000 0.000 1
Si2 Si 0.500 0.500 0.000 1
C1 C 0.000 0.500 0.500 1
```

[5]
Ce5Ge3C: simulated PXRD pattern (Cu Kα (weighted mean of Kα1 and Kα2)), based on a DFT-relaxed cell (PBE, the Materials Project).
Neutral-atom scattering factors, no anomalous dispersion.

Most intense lines, 2θ from 10° to 90°, low angle first:
(0 0 2), d 3.134, I 10; (2 1 0), d 2.900, I 68; (2 1 1), d 2.631, I 100; (1 1 2), d 2.558, I 95; (2 2 1), d 2.088, I 12; (2 2 2), d 1.808, I 22; (2 1 3), d 1.695, I 33; (4 1 0), d 1.674, I 17; (4 0 2), d 1.636, I 15; (5 0 2), d 1.378, I 28; (3 3 2), d 1.336, I 16; (4 1 4), d 1.144, I 16

Cell and atoms:
```
data_Ce5Ge3C
_chemical_formula_sum 'Ce10 Ge6 C2'
_space_group_name_H-M_alt 'P 63/m c m'
_space_group_IT_number 193
_space_group_name_Hall '-P 6c 2'
_cell_length_a 8.8565
_cell_length_b 8.8565
_cell_length_c 6.2671
_cell_angle_alpha 90.00
_cell_angle_beta 90.00
_cell_angle_gamma 120.00
loop_
_atom_site_label
_atom_site_type_symbol
_atom_site_fract_x
_atom_site_fract_y
_atom_site_fract_z
_atom_site_occupancy
Ce1 Ce 0.0000 0.2264 0.2500 1
Ce2 Ce 0.3333 0.6667 0.0000 1
Ge1 Ge 0.0000 0.3951 0.7500 1
C1 C 0.0000 0.0000 0.0000 1
```

[6]
NaCeP2H2CO7: simulated PXRD pattern (Cu Kα (weighted mean of Kα1 and Kα2)), based on a DFT-relaxed cell (PBE, the Materials Project).
Neutral-atom scattering factors, no anomalous dispersion.

Most intense lines, 2θ from 10° to 90°, low angle first:
(1 0 0), d 6.753, I 46; (1 1 0), d 6.197, I 79; (0 1 1), d 6.140, I 100; (1 1 -1), d 4.544, I 89; (1 2 1), d 4.054, I 56; (0 4 0), d 3.899, I 93; (1 3 1), d 3.502, I 38; (2 0 0), d 3.375, I 35; (1 0 -2), d 2.999, I 57; (0 5 1), d 2.829, I 90; (2 2 -1), d 2.815, I 37; (1 7 0), d 2.116, I 52

Cell and atoms:
```
data_NaCeP2H2CO7
_chemical_formula_sum 'Na4 Ce4 P8 H8 C4 O28'
_space_group_name_H-M_alt 'P 1 21/c 1'
_space_group_IT_number 14
_cell_length_a 6.753
_cell_length_b 15.597
_cell_length_c 6.680
_cell_angle_alpha 90.00
_cell_angle_beta 90.28
_cell_angle_gamma 90.00
loop_
_space_group_symop_operation_xyz
'x,y,z'
'-x,-y,-z'
'-x,y+1/2,-z+1/2'
'x,-y+1/2,z+1/2'
loop_
_atom_site_label
_atom_site_type_symbol
_atom_site_fract_x
_atom_site_fract_y
_atom_site_fract_z
_atom_site_occupancy
Na1 Na 0.191 0.032 0.358 1
Ce1 Ce 0.306 0.610 0.385 1
P1 P 0.187 0.095 0.869 1
P2 P 0.472 0.662 0.889 1
H1 H 0.178 0.202 0.613 1
H2 H 0.312 0.237 0.826 1
C1 C 0.288 0.183 0.726 1
O1 O 0.001 0.628 0.525 1
O2 O 0.084 0.652 0.181 1
O3 O 0.140 0.021 0.723 1
O4 O 0.337 0.062 0.027 1
O5 O 0.350 0.606 0.744 1
O6 O 0.388 0.748 0.428 1
O7 O 0.497 0.113 0.410 1
```